The following is a theoretical PXRD pattern of RbBAuF6. It was derived from a crystal structure in Alexandria, relaxed with GGA-PBE, using Cu Kα (λ = 1.5418 Å).
No peak broadening, texture or thermal motion is included.

Structural model:
a = 4.9464 Å, b = 5.9115 Å, c = 6.4778 Å
α = 86.58°, β = 68.82°, γ = 84.21°
Space group P1 (No. 1)
Unique sites:
Rb  0.0000  0.0000  0.0000 [1 per cell]
B  0.4550  0.4804  0.1681 [1 per cell]
Au  0.6909  0.5109  0.6282 [1 per cell]
F  0.2192  0.6365  0.2680 [1 per cell]
F  0.3780  0.3075  0.0642 [1 per cell]
F  0.4407  0.7987  0.6408 [1 per cell]
F  0.5823  0.3743  0.3187 [1 per cell]
F  0.6806  0.6001  0.0007 [1 per cell]
F  0.9407  0.2249  0.6248 [1 per cell]

Largest 8 diffraction maxima, low angle first, 15 to 90 degrees two-theta:
| Position (°2θ) | intensity | hkl |
| --- | --- | --- |
| 15.1 | 48 | 0 1 0 |
| 19.3 | 33 | 1 0 0 |
| 20.8 | 38 | 0 1 1 |
| 21.4 | 44 | 0 1 -1 |
| 23.6 | 100 | 1 1 0 |
| 25.6 | 34 | 1 -1 0 |
| 28.3 | 34 | 1 0 -1 |
| 41.0 | 29 | 1 2 -1 |



The following is a theoretical PXRD pattern of La3CdPd6. It was derived from a crystal structure in Alexandria, relaxed with GGA-PBE, using Cu Kα (λ = 1.5418 Å).
No peak broadening, texture or thermal motion is included.

Structural model:
a = 11.7004 Å, b = 11.7004 Å, c = 5.6066 Å
α = 90.00°, β = 90.00°, γ = 120.00°
Space group R3m (No. 160, hexagonal axes)
Unique sites:
La  0.0000  0.5000  0.0000 [9 per cell]
Cd  0.0000  0.0000  0.4074 [3 per cell]
Pd  0.0795  0.1589  0.8309 [9 per cell]
Pd  0.2126  0.4252  0.8381 [9 per cell]

Largest 8 diffraction maxima, low angle first, 15 to 90 degrees two-theta:
| Position (°2θ) | intensity | hkl |
| --- | --- | --- |
| 26.4 | 24 | 3 0 0 |
| 30.6 | 51 | 2 2 0 |
| 33.2 | 28 | 0 1 2 |
| 35.7 | 100 | 1 3 1 |
| 36.6 | 69 | 2 0 2 |
| 39.0 | 29 | 4 0 1 |
| 40.8 | 22 | 4 1 0 |
| 42.1 | 27 | 3 2 1 |



The following is a theoretical PXRD pattern of Np2Pa3N8. It was derived from a crystal structure in Alexandria, relaxed with GGA-PBE, using Cu Kα (λ = 1.5418 Å).
No peak broadening, texture or thermal motion is included.

Structural model:
a = 6.5941 Å, b = 3.7462 Å, c = 9.5046 Å
α = 90.00°, β = 97.36°, γ = 90.00°
Space group P2/m (No. 10)
Unique sites:
Np  0.1570  0.0000  0.3628 [2 per cell]
Pa  0.3832  0.5000  0.6759 [2 per cell]
Pa  0.5000  0.0000  0.0000 [1 per cell]
N  0.1700  0.0000  0.6023 [2 per cell]
N  0.3049  0.5000  0.4208 [2 per cell]
N  0.3355  0.5000  0.8984 [2 per cell]
N  0.4210  0.0000  0.2344 [2 per cell]

Largest 8 diffraction maxima, low angle first, 15 to 90 degrees two-theta:
| Position (°2θ) | intensity | hkl |
| --- | --- | --- |
| 27.7 | 51 | 2 0 -1 |
| 28.4 | 50 | 0 0 3 |
| 29.6 | 100 | 1 1 1 |
| 32.4 | 61 | 1 1 -2 |
| 35.4 | 21 | 2 0 2 |
| 48.3 | 22 | 3 1 0 |
| 49.2 | 24 | 1 1 4 |
| 57.3 | 18 | 0 2 3 |



The following is a theoretical PXRD pattern of La10NdTm4. It was derived from a crystal structure in Alexandria, relaxed with GGA-PBE, using Cu Kα (λ = 1.5418 Å).
No peak broadening, texture or thermal motion is included.

Structural model:
a = 11.5911 Å, b = 11.5911 Å, c = 7.9126 Å
α = 90.00°, β = 90.00°, γ = 90.00°
Space group I4/mmm (No. 139)
Unique sites:
La  0.0000  0.2192  0.2108 [16 per cell]
La  0.0000  0.5000  0.2500 [4 per cell]
Nd  0.0000  0.0000  0.5000 [2 per cell]
Tm  0.2310  0.2310  0.5000 [8 per cell]

Largest 8 diffraction maxima, low angle first, 15 to 90 degrees two-theta:
| Position (°2θ) | intensity | hkl |
| --- | --- | --- |
| 27.3 | 48 | 2 0 2 |
| 30.0 | 37 | 3 2 1 |
| 30.9 | 100 | 4 0 0 |
| 31.4 | 98 | 2 2 2 |
| 33.3 | 27 | 3 1 2 |
| 40.1 | 27 | 3 3 2 |
| 44.2 | 29 | 4 4 0 |
| 65.8 | 36 | 7 3 2 |